Theoretical PXRD pattern
Compound: CuPdO2
Radiation: a wavelength of 1.5418 Å
Structure: DFT lattice parameters and positions (GGA-PBE)

Crystal structure
Unit cell a=2.9710 b=3.0721 c=5.3142 alpha=90.00 beta=90.00 gamma=90.00
Space group Pmmm (No. 47)
Unique sites:
Cu 0.0000 0.0000 0.0000 [1 per cell]
Pd 0.5000 0.5000 0.5000 [1 per cell]
O 0.5000 0.0000 0.2402 [2 per cell]

The 6 most intense peaks (10° ≤ 2θ ≤ 80°), sorted by position:
(hkl)  2theta  I/Imax
0 1 1  33.71  100
1 0 1  34.59  67
1 1 0  42.32  26
1 1 2  55.18  46
0 2 0  60.29  21
2 1 1  72.95  20

=====

Theoretical PXRD pattern
Compound: Pr2CuO4
Radiation: a wavelength of 1.5418 Å
Structure: DFT lattice parameters and positions (GGA-PBE)

Crystal structure
Unit cell a=3.7880 b=3.7880 c=13.0811 alpha=90.00 beta=90.00 gamma=90.00
Space group I4/mmm (No. 139)
Unique sites:
Pr 0.0000 0.0000 0.1378 [4 per cell]
Cu 0.0000 0.0000 0.5000 [2 per cell]
O 0.0000 0.0000 0.3161 [4 per cell]
O 0.0000 0.5000 0.0000 [4 per cell]

The 6 most intense peaks (10° ≤ 2θ ≤ 80°), sorted by position:
(hkl)  2theta  I/Imax
1 0 1  24.46  24
1 0 3  31.28  100
1 1 0  33.45  67
1 1 4  43.68  28
2 0 0  48.04  33
2 1 3  58.45  35

=====

Theoretical PXRD pattern
Compound: Pr2CuO4
Radiation: a wavelength of 1.5418 Å
Structure: DFT lattice parameters and positions (GGA-PBE)

Crystal structure
Unit cell a=5.2809 b=12.9500 c=5.5835 alpha=90.00 beta=90.00 gamma=90.00
Space group Cmce (No. 64)
Unique sites:
Pr 0.0000 0.1387 0.0166 [8 per cell]
Cu 0.0000 0.0000 0.5000 [4 per cell]
O 0.0000 0.1860 0.4315 [8 per cell]
O 0.2500 0.0151 0.7500 [8 per cell]

The 6 most intense peaks (10° ≤ 2θ ≤ 80°), sorted by position:
(hkl)  2theta  I/Imax
1 1 1  24.19  23
1 3 1  31.19  100
0 0 2  32.06  32
2 0 0  33.95  31
1 5 1  42.10  21
2 0 2  47.39  30

=====

Theoretical PXRD pattern
Compound: Pr2CuO4
Radiation: a wavelength of 1.5418 Å
Structure: DFT lattice parameters and positions (GGA-PBE)

Crystal structure
Unit cell a=3.9957 b=3.9957 c=12.4827 alpha=90.00 beta=90.00 gamma=90.00
Space group I4/mmm (No. 139)
Unique sites:
Pr 0.0000 0.0000 0.1496 [4 per cell]
Cu 0.0000 0.0000 0.5000 [2 per cell]
O 0.0000 0.5000 0.0000 [4 per cell]
O 0.0000 0.5000 0.2500 [4 per cell]

The 6 most intense peaks (10° ≤ 2θ ≤ 80°), sorted by position:
(hkl)  2theta  I/Imax
1 0 1  23.38  17
1 0 3  31.03  100
1 1 0  31.67  33
1 1 4  43.19  18
2 0 0  45.40  26
2 1 3  56.01  37

=====

Theoretical PXRD pattern
Compound: Pr2CuS2O
Radiation: a wavelength of 1.5418 Å
Structure: DFT lattice parameters and positions (GGA-PBE)

Crystal structure
Unit cell a=3.7401 b=3.7401 c=13.9610 alpha=90.00 beta=90.00 gamma=90.00
Space group P4/mmm (No. 123)
Unique sites:
Pr 0.0000 0.0000 0.1549 [2 per cell]
Cu 0.0000 0.0000 0.5000 [1 per cell]
S 0.0000 0.0000 0.3509 [2 per cell]
O 0.0000 0.0000 0.0000 [1 per cell]

The 6 most intense peaks (10° ≤ 2θ ≤ 80°), sorted by position:
(hkl)  2theta  I/Imax
0 0 3  19.07  29
1 0 0  23.79  100
1 0 3  30.67  38
1 1 0  33.90  39
1 1 3  39.18  20
1 0 6  45.93  27

=====

Theoretical PXRD pattern
Compound: Sr6Pr3Cu6O17
Radiation: a wavelength of 1.5418 Å
Structure: DFT lattice parameters and positions (GGA-PBE)

Crystal structure
Unit cell a=11.5727 b=20.3224 c=3.7943 alpha=90.00 beta=90.00 gamma=90.00
Space group Imm2 (No. 44)
Unique sites:
Sr 0.0000 0.1973 0.0000 [4 per cell]
Sr 0.1779 0.3213 0.4962 [8 per cell]
Pr 0.0000 0.0000 0.9962 [2 per cell]
Pr 0.2035 0.5000 0.5156 [4 per cell]
Cu 0.0000 0.4139 0.9553 [4 per cell]
Cu 0.1467 0.1028 0.5001 [8 per cell]
O 0.0000 0.3198 0.0108 [4 per cell]
O 0.0000 0.5000 0.7208 [2 per cell]
O 0.1371 0.0000 0.4972 [4 per cell]
O 0.1420 0.0930 0.9998 [8 per cell]
O 0.1571 0.2008 0.5000 [8 per cell]
O 0.1618 0.4188 0.0036 [8 per cell]

The 6 most intense peaks (10° ≤ 2θ ≤ 80°), sorted by position:
(hkl)  2theta  I/Imax
3 5 0  31.99  75
0 5 1  32.28  86
3 0 1  33.12  100
0 0 2  47.95  26
3 10 1  56.65  25
3 5 2  58.81  27

=====

Theoretical PXRD pattern
Compound: Sr2Pr2Tl2Cu3O10
Radiation: a wavelength of 1.5418 Å
Structure: DFT lattice parameters and positions (GGA-PBE)

Crystal structure
Unit cell a=3.9535 b=3.9535 c=35.5865 alpha=90.00 beta=90.00 gamma=90.00
Space group I4/mmm (No. 139)
Unique sites:
Sr 0.0000 0.0000 0.1466 [4 per cell]
Pr 0.0000 0.0000 0.0492 [4 per cell]
Tl 0.0000 0.0000 0.2815 [4 per cell]
Cu 0.0000 0.0000 0.4060 [4 per cell]
Cu 0.0000 0.0000 0.5000 [2 per cell]
O 0.0000 0.0000 0.2199 [4 per cell]
O 0.0000 0.0000 0.3421 [4 per cell]
O 0.0000 0.5000 0.0000 [4 per cell]
O 0.0000 0.5000 0.0900 [8 per cell]

The 6 most intense peaks (10° ≤ 2θ ≤ 80°), sorted by position:
(hkl)  2theta  I/Imax
1 0 7  28.60  14
1 1 0  32.01  100
2 0 0  45.91  25
2 1 9  57.06  27
2 2 0  66.94  10
3 1 0  76.14  12

=====

Theoretical PXRD pattern
Compound: Sr2CuPtO2
Radiation: a wavelength of 1.5418 Å
Structure: DFT lattice parameters and positions (GGA-PBE)

Crystal structure
Unit cell a=3.9246 b=3.9246 c=7.0029 alpha=90.00 beta=90.00 gamma=90.00
Space group P4/mmm (No. 123)
Unique sites:
Sr 0.0000 0.0000 0.2411 [2 per cell]
Cu 0.5000 0.5000 0.0000 [1 per cell]
Pt 0.5000 0.5000 0.5000 [1 per cell]
O 0.0000 0.5000 0.0000 [2 per cell]

The 6 most intense peaks (10° ≤ 2θ ≤ 80°), sorted by position:
(hkl)  2theta  I/Imax
1 0 1  26.03  18
1 1 0  32.26  50
1 0 2  34.32  100
2 0 0  46.27  25
2 1 2  58.86  42
1 1 4  62.75  15

=====

Theoretical PXRD pattern
Compound: PuCuO3
Radiation: a wavelength of 1.5418 Å
Structure: DFT lattice parameters and positions (GGA-PBE)

Crystal structure
Unit cell a=3.8230 b=3.8230 c=3.8230 alpha=90.00 beta=90.00 gamma=90.00
Space group Pm-3m (No. 221)
Unique sites:
Pu 0.0000 0.0000 0.0000 [1 per cell]
Cu 0.5000 0.5000 0.5000 [1 per cell]
O 0.0000 0.5000 0.5000 [3 per cell]

The 6 most intense peaks (10° ≤ 2θ ≤ 80°), sorted by position:
(hkl)  2theta  I/Imax
1 0 0  23.27  31
1 1 0  33.14  100
1 1 1  40.89  21
2 0 0  47.57  27
2 1 1  59.20  39
3 1 0  79.24  17

=====

Theoretical PXRD pattern
Compound: RbCu2O10
Radiation: a wavelength of 1.5418 Å
Structure: DFT lattice parameters and positions (GGA-PBE)

Crystal structure
Unit cell a=9.4755 b=6.3554 c=8.2432 alpha=90.00 beta=120.43 gamma=90.00
Space group C2/m (No. 12)
Unique sites:
Rb 0.0000 0.0000 0.0000 [2 per cell]
Cu 0.2500 0.2500 0.5000 [4 per cell]
O 0.0059 0.5000 0.4280 [4 per cell]
O 0.1569 0.0000 0.3940 [4 per cell]
O 0.1617 0.5000 0.1847 [4 per cell]
O 0.2482 0.3172 0.2688 [8 per cell]

The 6 most intense peaks (10° ≤ 2θ ≤ 80°), sorted by position:
(hkl)  2theta  I/Imax
0 0 1  12.45  44
2 0 -1  18.79  100
1 1 1  24.70  28
0 2 1  30.82  30
3 1 -1  31.90  27
2 2 0  35.80  45

=====

Theoretical PXRD pattern
Compound: Rb3CuO2
Radiation: a wavelength of 1.5418 Å
Structure: DFT lattice parameters and positions (GGA-PBE)

Crystal structure
Unit cell a=6.8217 b=9.8018 c=9.5744 alpha=90.00 beta=112.04 gamma=90.00
Space group P2_1/c (No. 14)
Unique sites:
Rb 0.2373 0.0251 0.3750 [4 per cell]
Rb 0.2536 0.0345 0.9952 [4 per cell]
Rb 0.2594 0.7083 0.1872 [4 per cell]
Cu 0.2088 0.1794 0.6730 [4 per cell]
O 0.0075 0.6983 0.3783 [4 per cell]
O 0.4304 0.0612 0.7222 [4 per cell]

The 6 most intense peaks (10° ≤ 2θ ≤ 80°), sorted by position:
(hkl)  2theta  I/Imax
1 2 -2  26.85  49
0 2 2  27.11  39
2 0 0  28.23  70
1 3 -1  30.76  60
0 1 3  31.59  49
2 1 -3  34.08  100